Entry 1:
Calculated XRD peak list
Compound: Zr2AlCu8
Radiation: copper Kα
Structure: a cell relaxed with GGA-PBE
No peak broadening, texture or thermal motion is included.

Largest 10 diffraction maxima, sorted by position, 2θ = 15–90°:
2θ (°)	intensity
32.3	87
35.9	206
41.2	1000
44.5	449
44.6	81
54.2	72
64.8	235
72.6	112
79.7	255
83.2	82

Cell and atoms:
Cell lengths 4.072, 4.072, 10.153 Å; angles 90.00, 90.00, 90.00 degrees
Space group P4/mmm (No. 123)
One atom of each set of equivalent atoms:
Zr  0.000  0.000  0.183 [2 per cell]
Al  0.000  0.000  0.500 [1 per cell]
Cu  0.000  0.500  0.000 [2 per cell]
Cu  0.000  0.500  0.361 [4 per cell]
Cu  0.500  0.500  0.175 [2 per cell]

=====

Entry 2:
Calculated XRD peak list
Compound: ZrAl4Cu2
Radiation: copper Kα
Structure: a cell relaxed with GGA-PBE
No peak broadening, texture or thermal motion is included.

Largest 10 diffraction maxima, sorted by position, 2θ = 15–90°:
2θ (°)	intensity
29.8	270
30.7	277
36.8	1000
37.2	657
37.4	756
37.9	475
39.3	309
40.9	468
44.4	700
61.9	258

Cell and atoms:
Cell lengths 6.460, 4.084, 8.831 Å; angles 90.00, 109.60, 90.00 degrees
Space group P2_1/m (No. 11)
One atom of each set of equivalent atoms:
Zr  0.144  0.250  0.281 [2 per cell]
Al  0.100  0.250  0.619 [2 per cell]
Al  0.114  0.250  0.938 [2 per cell]
Al  0.446  0.750  0.861 [2 per cell]
Al  0.486  0.750  0.377 [2 per cell]
Cu  0.280  0.750  0.565 [2 per cell]
Cu  0.284  0.750  0.080 [2 per cell]

=====

Entry 3:
Calculated XRD peak list
Compound: ZrAl4Cu2
Radiation: copper Kα
Structure: a cell relaxed with GGA-PBE
No peak broadening, texture or thermal motion is included.

Largest 10 diffraction maxima, sorted by position, 2θ = 15–90°:
2θ (°)	intensity
23.5	164
23.6	452
29.6	191
33.5	331
37.0	444
38.2	1000
40.3	365
41.7	969
54.6	327
75.8	166

Cell and atoms:
Cell lengths 7.746, 7.546, 4.876 Å; angles 90.00, 128.89, 90.00 degrees
Space group C2/m (No. 12)
One atom of each set of equivalent atoms:
Zr  0.000  0.000  0.000 [2 per cell]
Al  0.217  0.189  0.717 [8 per cell]
Cu  0.000  0.500  0.257 [4 per cell]

=====

Entry 4:
Calculated XRD peak list
Compound: Zr3AlCu3
Radiation: copper Kα
Structure: a cell relaxed with GGA-PBE
No peak broadening, texture or thermal motion is included.

Largest 10 diffraction maxima, sorted by position, 2θ = 15–90°:
2θ (°)	intensity
26.9	319
35.0	231
37.5	1000
38.6	471
42.3	530
45.3	348
46.8	300
62.2	221
74.1	164
89.2	149

Cell and atoms:
Cell lengths 3.883, 6.393, 10.242 Å; angles 90.00, 90.00, 90.00 degrees
Space group Pmmn (No. 59, origin choice 2)
One atom of each set of equivalent atoms:
Zr  0.250  0.013  0.154 [4 per cell]
Zr  0.250  0.250  0.658 [2 per cell]
Al  0.250  0.750  0.657 [2 per cell]
Cu  0.250  0.026  0.426 [4 per cell]
Cu  0.250  0.250  0.934 [2 per cell]

=====

Entry 5:
Calculated XRD peak list
Compound: Zr4AlCu
Radiation: copper Kα
Structure: a cell relaxed with GGA-PBE
No peak broadening, texture or thermal motion is included.

Largest 10 diffraction maxima, sorted by position, 2θ = 15–90°:
2θ (°)	intensity
33.9	1000
36.7	91
40.6	327
41.1	164
45.2	132
57.2	104
64.3	147
65.4	119
68.4	142
75.4	134

Cell and atoms:
Cell lengths 7.027, 7.027, 4.894 Å; angles 90.00, 90.00, 90.00 degrees
Space group I422 (No. 97)
One atom of each set of equivalent atoms:
Zr  0.153  0.347  0.250 [8 per cell]
Al  0.000  0.000  0.500 [2 per cell]
Cu  0.000  0.000  0.000 [2 per cell]

=====

Entry 6:
Calculated XRD peak list
Compound: Zr4AlCu
Radiation: copper Kα
Structure: a cell relaxed with GGA-PBE
No peak broadening, texture or thermal motion is included.

Largest 10 diffraction maxima, sorted by position, 2θ = 15–90°:
2θ (°)	intensity
34.0	1000
34.9	109
39.6	185
41.6	312
44.0	154
58.3	102
62.0	168
65.4	119
68.5	147
77.1	123

Cell and atoms:
Cell lengths 6.861, 6.861, 5.148 Å; angles 90.00, 90.00, 90.00 degrees
Space group P4/mcc (No. 124)
One atom of each set of equivalent atoms:
Zr  0.150  0.342  0.000 [8 per cell]
Al  0.500  0.500  0.250 [2 per cell]
Cu  0.000  0.000  0.250 [2 per cell]

=====

Entry 7:
Calculated XRD peak list
Compound: DyAl5
Radiation: copper Kα
Structure: a cell relaxed with GGA-PBE
No peak broadening, texture or thermal motion is included.

Largest 10 diffraction maxima, sorted by position, 2θ = 15–90°:
2θ (°)	intensity
17.9	484
20.6	207
22.8	298
25.1	292
32.7	230
36.2	301
37.5	1000
41.3	163
56.1	170
72.8	142

Cell and atoms:
Cell lengths 4.376, 6.066, 8.611 Å; angles 90.00, 90.00, 90.00 degrees
Space group Immm (No. 71)
One atom of each set of equivalent atoms:
Dy  0.000  0.000  0.000 [2 per cell]
Al  0.000  0.232  0.337 [8 per cell]
Al  0.000  0.500  0.000 [2 per cell]

=====

Entry 8:
Calculated XRD peak list
Compound: DyAl4
Radiation: copper Kα
Structure: a cell relaxed with GGA-PBE
No peak broadening, texture or thermal motion is included.

Largest 10 diffraction maxima, sorted by position, 2θ = 15–90°:
2θ (°)	intensity
15.5	564
21.2	491
24.0	550
25.9	295
28.0	1000
35.8	953
38.5	731
38.9	513
41.0	339
57.8	322

Cell and atoms:
Cell lengths 4.405, 6.260, 13.773 Å; angles 90.00, 90.00, 90.00 degrees
Space group Imma (No. 74)
One atom of each set of equivalent atoms:
Dy  0.000  0.250  0.112 [4 per cell]
Al  0.000  0.000  0.500 [4 per cell]
Al  0.000  0.033  0.698 [8 per cell]
Al  0.000  0.250  0.889 [4 per cell]

=====

Entry 9:
Calculated XRD peak list
Compound: DyAl11
Radiation: copper Kα
Structure: a cell relaxed with GGA-PBE
No peak broadening, texture or thermal motion is included.

Largest 10 diffraction maxima, sorted by position, 2θ = 15–90°:
2θ (°)	intensity
16.1	220
21.9	386
22.9	163
27.3	491
31.9	429
35.9	1000
36.6	512
38.3	236
55.0	233
65.5	244

Cell and atoms:
Cell lengths 10.978, 10.978, 7.209 Å; angles 90.00, 90.00, 90.00 degrees
Space group I4_1/amd (No. 141, origin choice 2)
One atom of each set of equivalent atoms:
Dy  0.000  0.250  0.375 [4 per cell]
Al  0.000  0.000  0.000 [8 per cell]
Al  0.000  0.250  0.875 [4 per cell]
Al  0.121  0.044  0.678 [32 per cell]

=====

Entry 10:
Calculated XRD peak list
Compound: DyAl5
Radiation: copper Kα
Structure: a cell relaxed with GGA-PBE
No peak broadening, texture or thermal motion is included.

Largest 10 diffraction maxima, sorted by position, 2θ = 15–90°:
2θ (°)	intensity
18.6	534
20.3	238
27.7	1000
32.5	453
37.7	396
38.6	937
55.1	298
57.2	235
62.1	232
73.6	226

Cell and atoms:
Cell lengths 5.5133, 5.5133, 4.3655 Å; angles 90.00, 90.00, 120.00 degrees
Space group P6/mmm (No. 191)
One atom of each set of equivalent atoms:
Dy  0.0000  0.0000  0.0000 [1 per cell]
Al  0.0000  0.5000  0.5000 [3 per cell]
Al  0.3333  0.6667  0.0000 [2 per cell]

=====

Entry 11:
Calculated XRD peak list
Compound: Dy3Al2
Radiation: copper Kα
Structure: a cell relaxed with GGA-PBE
No peak broadening, texture or thermal motion is included.

Largest 10 diffraction maxima, sorted by position, 2θ = 15–90°:
2θ (°)	intensity
24.2	511
28.1	512
30.7	381
32.1	1000
33.9	825
34.5	678
36.5	251
51.7	203
53.0	310
60.3	236

Cell and atoms:
Cell lengths 8.230, 8.230, 7.597 Å; angles 90.00, 90.00, 90.00 degrees
Space group P4_2/mnm (No. 136)
One atom of each set of equivalent atoms:
Dy  0.000  0.500  0.250 [4 per cell]
Dy  0.150  0.150  0.000 [4 per cell]
Dy  0.202  0.202  0.500 [4 per cell]
Al  0.119  0.881  0.306 [8 per cell]

=====

Entry 12:
Calculated XRD peak list
Compound: Dy2ErAl
Radiation: copper Kα
Structure: a cell relaxed with GGA-PBE
No peak broadening, texture or thermal motion is included.

Largest 10 diffraction maxima, sorted by position, 2θ = 15–90°:
2θ (°)	intensity
22.6	274
26.2	92
30.3	241
33.9	244
34.9	1000
46.2	175
53.9	170
61.3	196
65.2	209
65.8	150

Cell and atoms:
Cell lengths 5.284, 6.801, 11.797 Å; angles 90.00, 90.00, 90.00 degrees
Space group Amm2 (No. 38)
One atom of each set of equivalent atoms:
Dy  0.000  0.000  0.000 [2 per cell]
Dy  0.000  0.238  0.238 [4 per cell]
Dy  0.500  0.000  0.650 [2 per cell]
Er  0.500  0.238  0.412 [4 per cell]
Al  0.000  0.000  0.491 [2 per cell]
Al  0.500  0.000  0.159 [2 per cell]

=====

Entry 13:
Calculated XRD peak list
Compound: DyEr3Al8
Radiation: copper Kα
Structure: a cell relaxed with GGA-PBE
No peak broadening, texture or thermal motion is included.

Largest 10 diffraction maxima, sorted by position, 2θ = 15–90°:
2θ (°)	intensity
19.6	886
32.3	686
32.4	680
38.1	1000
38.2	333
57.7	397
61.5	248
61.6	162
67.6	144
67.8	142

Cell and atoms:
Cell lengths 5.5275, 5.5275, 27.2134 Å; angles 90.00, 90.00, 120.00 degrees
Space group R3m (No. 160, hexagonal axes)
One atom of each set of equivalent atoms:
Dy  0.0000  0.0000  0.0000 [3 per cell]
Er  0.0000  0.0000  0.1247 [3 per cell]
Er  0.0000  0.0000  0.5001 [3 per cell]
Er  0.0000  0.0000  0.6245 [3 per cell]
Al  0.0000  0.0000  0.3123 [3 per cell]
Al  0.0000  0.0000  0.8124 [3 per cell]
Al  0.0001  0.5000  0.0625 [9 per cell]
Al  0.9998  0.4999  0.5622 [9 per cell]